Theoretical powder diffractogram
Compound: La3Pm2Er8
Radiation: CuKα
Structure: a structure optimized by DFT (PBE)
Peak positions follow from Bragg's law for the DFT cell and can differ from measured ones.

Atomic structure:
a b c (Å): 10.913 10.913 5.629
angles (deg): 90.11 90.11 41.40
Atoms (fractional coordinates):
La 0.000 0.000 0.000
La 0.300 0.700 0.500
La 0.700 0.300 0.500
Pm 0.241 0.241 0.997
Pm 0.759 0.759 0.003
Er 0.135 0.135 0.499
Er 0.182 0.599 0.999
Er 0.332 0.332 0.498
Er 0.401 0.818 0.001
Er 0.599 0.182 0.999
Er 0.668 0.668 0.502
Er 0.818 0.401 0.001
Er 0.865 0.865 0.501

Most intense lines, 15° ≤ 2θ ≤ 90°, in order of falling intensity:
33.2°, rel. 100; 31.8°, rel. 42; 30.7°, rel. 34; 29.4°, rel. 34; 35.2°, rel. 25; 57.5°, rel. 21; 24.7°, rel. 19; 48.2°, rel. 14